Calculated X-ray diffraction stick pattern of Rb3MgI5 for CuKα, from the PBE geometry in Alexandria.

Structure:
Lattice parameters (Å, degrees): 10.052 10.089 16.705 90.00 90.00 90.00
Space group Ibam (No. 72)
One atom of each set of equivalent atoms:
Rb1 0.000 0.000 0.250
Rb2 0.158 0.342 0.000
Mg1 0.000 0.500 0.250
I1 0.000 0.000 0.000
I2 0.151 0.350 0.351

The 10 most intense peaks (5° ≤ 2θ ≤ 70°), by angle:
2θ 24.71, I = 17, (1 1 4)
2θ 25.01, I = 11, (2 2 0)
2θ 25.44, I = 100, (1 2 3)
2θ 27.75, I = 14, (2 0 4)
2θ 28.02, I = 49, (3 1 0)
2θ 32.15, I = 9, (0 0 6)
2θ 40.04, I = 10, (2 4 0)
2θ 43.16, I = 14, (3 1 6)
2θ 51.49, I = 10, (2 5 3)
2θ 51.62, I = 10, (5 2 3)